Computed X-ray diffraction stick pattern
Compound: ThN4F8
Radiation: Cu Kα (λ = 1.5418 Å)
Structure: a PBE-relaxed structure
Kinematic intensities with the Lorentz-polarization factor, no thermal factor.

Crystal structure
```
data_ThN4F8
_symmetry_space_group_name_H-M 'P -1'
_symmetry_Int_Tables_number 2
_cell_length_a 7.8078
_cell_length_b 8.4210
_cell_length_c 8.7240
_cell_angle_alpha 98.72
_cell_angle_beta 90.96
_cell_angle_gamma 103.10
loop_
_symmetry_equiv_pos_as_xyz
'x,y,z'
'-x,-y,-z'
loop_
_atom_site_label
_atom_site_type_symbol
_atom_site_fract_x
_atom_site_fract_y
_atom_site_fract_z
_atom_site_occupancy
Th1 Th 0.2471 0.4753 0.0222 1
N1 N 0.1158 0.0357 0.1863 1
N2 N 0.1574 0.6733 0.5483 1
N3 N 0.3693 0.2381 0.4816 1
N4 N 0.4184 0.9656 0.8210 1
F1 F 0.0375 0.5539 0.8720 1
F2 F 0.0914 0.1922 0.2063 1
F3 F 0.1951 0.2386 0.8845 1
F4 F 0.2554 0.5755 0.5938 1
F5 F 0.2939 0.8822 0.9026 1
F6 F 0.3277 0.6457 0.2292 1
F7 F 0.3361 0.0774 0.4931 1
F8 F 0.4927 0.6085 0.9051 1
```

Largest 6 diffraction maxima, in order of rising 2θ, 2θ = 15–90°:
5.479 Å, intensity 100; 4.306 Å, intensity 49; 3.912 Å, intensity 40; 3.796 Å, intensity 91; 3.499 Å, intensity 40; 3.443 Å, intensity 40